# BaSrCo3
Computed XRD peak list, CuKα. Input: a crystal structure in OQMD, relaxed with PBE.
Peak positions follow from Bragg's law for the DFT cell and can differ from measured ones.

Atomic structure:
```
data_BaSrCo3
_space_group_name_H-M_alt 'P 3 m 1'
_space_group_IT_number 156
_space_group_name_Hall 'P 3 -2"'
_cell_length_a 4.0729
_cell_length_b 4.0729
_cell_length_c 9.0365
_cell_angle_alpha 90.00
_cell_angle_beta 90.00
_cell_angle_gamma 120.00
loop_
_atom_site_label
_atom_site_type_symbol
_atom_site_fract_x
_atom_site_fract_y
_atom_site_fract_z
_atom_site_occupancy
Ba1 Ba 0.0000 0.0000 0.0000 1
Sr1 Sr 0.6667 0.3333 0.4353 1
Co1 Co 0.0000 0.0000 0.6743 1
Co2 Co 0.3333 0.6667 0.7090 1
Co3 Co 0.6667 0.3333 0.7489 1
```

Largest 10 diffraction maxima, in order of rising 2θ, 2θ from 10° to 80°:
- 2θ = 25.25°, rel. 30, hkl 1 0 0
- 2θ = 27.14°, rel. 100, hkl 1 0 1
- 2θ = 29.66°, rel. 41, hkl 0 0 3
- 2θ = 32.20°, rel. 67, hkl 0 1 2
- 2θ = 39.33°, rel. 73, hkl 1 0 3
- 2θ = 44.49°, rel. 78, hkl 1 1 0
- 2θ = 54.38°, rel. 42, hkl 1 1 3
- 2θ = 60.87°, rel. 19, hkl 0 2 3
- 2θ = 61.28°, rel. 28, hkl 1 1 4
- 2θ = 67.64°, rel. 23, hkl 0 1 6